Record 1
# LiCaGa4Pt2
Theoretical powder XRD pattern, CuKα. Input: a crystal structure in Alexandria, relaxed with GGA-PBE.
Intensities are scaled so that the largest is 1000.

Principal peaks in the range 2θ from 10° to 90°, sorted by position:
- 2θ = 10.04°, I = 432, (0 0 3)
- 2θ = 20.16°, I = 530, (0 0 6)
- 2θ = 24.80°, I = 616, (0 1 2)
- 2θ = 29.30°, I = 414, (0 1 5)
- 2θ = 36.33°, I = 658, (0 1 8)
- 2θ = 41.94°, I = 1000, (1 1 0)
- 2θ = 44.88°, I = 515, (0 1 11)
- 2θ = 46.96°, I = 362, (1 1 6)
- 2θ = 63.10°, I = 187, (2 0 11)
- 2θ = 78.68°, I = 198, (1 2 11)

Structural model:
a = 4.3083 Å, b = 4.3083 Å, c = 26.4217 Å
α = 90.00°, β = 90.00°, γ = 120.00°
Space group R-3m (No. 166, hexagonal axes)
Unique sites:
1 Li 0.0000 0.0000 0.0000
2 Ca 0.0000 0.0000 0.5000
3 Ga 0.0000 0.0000 0.0983
4 Ga 0.0000 0.0000 0.3700
5 Pt 0.0000 0.0000 0.2665



Record 2
# Li2CaGa2Sn2
Theoretical powder XRD pattern, CuKα. Input: a crystal structure in Alexandria, relaxed with GGA-PBE.
Intensities are scaled so that the largest is 1000.

Principal peaks in the range 2θ from 10° to 90°, sorted by position:
- 2θ = 20.38°, I = 329, (0 0 6)
- 2θ = 26.56°, I = 1000, (1 0 4)
- 2θ = 33.17°, I = 279, (1 0 7)
- 2θ = 39.94°, I = 668, (1 1 0)
- 2θ = 41.55°, I = 334, (1 0 10)
- 2θ = 44.61°, I = 216, (0 1 11)
- 2θ = 45.24°, I = 263, (1 1 6)
- 2θ = 48.61°, I = 194, (0 2 4)
- 2θ = 58.97°, I = 158, (0 2 10)
- 2θ = 64.66°, I = 166, (2 1 4)

Structural model:
a = 4.5148 Å, b = 4.5148 Å, c = 26.1472 Å
α = 90.00°, β = 90.00°, γ = 120.00°
Space group R-3m (No. 166, hexagonal axes)
Unique sites:
1 Li 0.0000 0.0000 0.1433
2 Ca 0.0000 0.0000 0.0000
3 Ga 0.0000 0.0000 0.4497
4 Sn 0.0000 0.0000 0.2577



Record 3
# CaMg6Ga
Theoretical powder XRD pattern, CuKα. Input: a crystal structure in Alexandria, relaxed with GGA-PBE.
Intensities are scaled so that the largest is 1000.

Principal peaks in the range 2θ from 10° to 90°, sorted by position:
- 2θ = 14.82°, I = 182, (0 0 2)
- 2θ = 32.33°, I = 297, (0 2 2)
- 2θ = 34.77°, I = 572, (1 0 4)
- 2θ = 35.15°, I = 397, (2 0 0)
- 2θ = 36.93°, I = 1000, (1 2 2)
- 2θ = 48.50°, I = 181, (2 2 2)
- 2θ = 54.62°, I = 185, (0 2 6)
- 2θ = 64.24°, I = 197, (3 2 2)
- 2θ = 66.63°, I = 167, (2 2 6)
- 2θ = 70.46°, I = 152, (1 4 4)

Structural model:
a = 5.106 Å, b = 6.248 Å, c = 11.958 Å
α = 90.00°, β = 90.00°, γ = 90.00°
Space group Amm2 (No. 38)
Unique sites:
1 Ca 0.000 0.000 0.000
2 Mg 0.000 0.248 0.745
3 Mg 0.500 0.000 0.164
4 Mg 0.500 0.000 0.633
5 Mg 0.500 0.246 0.397
6 Ga 0.000 0.000 0.467



Copy entry 1 word for word.
# LiCaGa4Pt2
Theoretical powder XRD pattern, CuKα. Input: a crystal structure in Alexandria, relaxed with GGA-PBE.
Intensities are scaled so that the largest is 1000.

Principal peaks in the range 2θ from 10° to 90°, sorted by position:
- 2θ = 10.04°, I = 432, (0 0 3)
- 2θ = 20.16°, I = 530, (0 0 6)
- 2θ = 24.80°, I = 616, (0 1 2)
- 2θ = 29.30°, I = 414, (0 1 5)
- 2θ = 36.33°, I = 658, (0 1 8)
- 2θ = 41.94°, I = 1000, (1 1 0)
- 2θ = 44.88°, I = 515, (0 1 11)
- 2θ = 46.96°, I = 362, (1 1 6)
- 2θ = 63.10°, I = 187, (2 0 11)
- 2θ = 78.68°, I = 198, (1 2 11)

Structural model:
a = 4.3083 Å, b = 4.3083 Å, c = 26.4217 Å
α = 90.00°, β = 90.00°, γ = 120.00°
Space group R-3m (No. 166, hexagonal axes)
Unique sites:
1 Li 0.0000 0.0000 0.0000
2 Ca 0.0000 0.0000 0.5000
3 Ga 0.0000 0.0000 0.0983
4 Ga 0.0000 0.0000 0.3700
5 Pt 0.0000 0.0000 0.2665



What did the third record say?
# CaMg6Ga
Theoretical powder XRD pattern, CuKα. Input: a crystal structure in Alexandria, relaxed with GGA-PBE.
Intensities are scaled so that the largest is 1000.

Principal peaks in the range 2θ from 10° to 90°, sorted by position:
- 2θ = 14.82°, I = 182, (0 0 2)
- 2θ = 32.33°, I = 297, (0 2 2)
- 2θ = 34.77°, I = 572, (1 0 4)
- 2θ = 35.15°, I = 397, (2 0 0)
- 2θ = 36.93°, I = 1000, (1 2 2)
- 2θ = 48.50°, I = 181, (2 2 2)
- 2θ = 54.62°, I = 185, (0 2 6)
- 2θ = 64.24°, I = 197, (3 2 2)
- 2θ = 66.63°, I = 167, (2 2 6)
- 2θ = 70.46°, I = 152, (1 4 4)

Structural model:
a = 5.106 Å, b = 6.248 Å, c = 11.958 Å
α = 90.00°, β = 90.00°, γ = 90.00°
Space group Amm2 (No. 38)
Unique sites:
1 Ca 0.000 0.000 0.000
2 Mg 0.000 0.248 0.745
3 Mg 0.500 0.000 0.164
4 Mg 0.500 0.000 0.633
5 Mg 0.500 0.246 0.397
6 Ga 0.000 0.000 0.467



What did the second record say?
# Li2CaGa2Sn2
Theoretical powder XRD pattern, CuKα. Input: a crystal structure in Alexandria, relaxed with GGA-PBE.
Intensities are scaled so that the largest is 1000.

Principal peaks in the range 2θ from 10° to 90°, sorted by position:
- 2θ = 20.38°, I = 329, (0 0 6)
- 2θ = 26.56°, I = 1000, (1 0 4)
- 2θ = 33.17°, I = 279, (1 0 7)
- 2θ = 39.94°, I = 668, (1 1 0)
- 2θ = 41.55°, I = 334, (1 0 10)
- 2θ = 44.61°, I = 216, (0 1 11)
- 2θ = 45.24°, I = 263, (1 1 6)
- 2θ = 48.61°, I = 194, (0 2 4)
- 2θ = 58.97°, I = 158, (0 2 10)
- 2θ = 64.66°, I = 166, (2 1 4)

Structural model:
a = 4.5148 Å, b = 4.5148 Å, c = 26.1472 Å
α = 90.00°, β = 90.00°, γ = 120.00°
Space group R-3m (No. 166, hexagonal axes)
Unique sites:
1 Li 0.0000 0.0000 0.1433
2 Ca 0.0000 0.0000 0.0000
3 Ga 0.0000 0.0000 0.4497
4 Sn 0.0000 0.0000 0.2577



- Which formula does entry 1 have?
  LiCaGa4Pt2